The following is a theoretical X-ray diffraction stick pattern of Tb3Nd7Tm. It was derived from a crystal structure in Alexandria, relaxed with PBE, using Cu Kα, 1.54184 Å.
Kinematic intensities with the Lorentz-polarization factor, no thermal factor.

Principal peaks in the range 10 to 90 degrees two-theta, by angle:
23.02 deg, I = 9
24.72 deg, I = 17
27.89 deg, I = 11
30.16 deg, I = 39
31.36 deg, I = 13
31.46 deg, I = 19
32.10 deg, I = 100
39.37 deg, I = 10
44.11 deg, I = 25
54.80 deg, I = 22
61.18 deg, I = 8
61.35 deg, I = 9

Structure:
```
Tb3Nd7Tm
1.0
-2.964 5.687 5.706
2.964 -5.687 5.706
2.964 5.687 -5.706
Tb Nd Tm
3 7 1
direct
0.000 0.000 0.000
0.205 0.500 0.705
0.795 0.500 0.295
0.018 0.808 0.210
0.210 0.710 0.500
0.403 0.192 0.210
0.500 0.500 0.000
0.597 0.808 0.790
0.790 0.290 0.500
0.982 0.192 0.790
0.500 0.000 0.500
```